No. 1
For TcSb3, the PBE geometry in Alexandria gives the simulated XRD peak list in this record (λ = 1.5418 Å (Cu Kα)).
Peak positions follow from Bragg's law for the DFT cell and can differ from measured ones.

Peak list (12 most intense, 10° ≤ 2θ ≤ 90°, by angle)
d = 6.482 Å, 13.66°, I 321, (0 2 0)
d = 2.656 Å, 33.75°, I 1000, (1 3 0)
d = 2.614 Å, 34.31°, I 963, (0 2 3)
d = 2.594 Å, 34.58°, I 652, (1 1 2)
d = 2.585 Å, 34.71°, I 418, (0 4 2)
d = 2.537 Å, 35.39°, I 846, (1 3 1)
d = 2.148 Å, 42.07°, I 577, (1 1 3)
d = 2.095 Å, 43.18°, I 237, (0 6 1)
d = 1.929 Å, 47.11°, I 277, (0 6 2)
d = 1.683 Å, 54.52°, I 249, (2 0 0)
d = 1.668 Å, 55.07°, I 358, (1 5 3)
d = 1.415 Å, 66.02°, I 278, (2 2 3)

Atomic structure:
Cell: 3.366 12.963 8.569 Å, 90.00 90.00 90.00°
Space group Cmcm (No. 63)
One atom of each set of equivalent atoms:
Tc: 0.000 0.225 0.250 (multiplicity 4)
Sb: 0.000 0.151 0.565 (multiplicity 8)
Sb: 0.000 0.440 0.750 (multiplicity 4)

No. 2
For CaBi2IO8, the PBE geometry in Alexandria gives the simulated XRD peak list in this record (λ = 1.5418 Å (Cu Kα)).
Peak positions follow from Bragg's law for the DFT cell and can differ from measured ones.

Peak list (12 most intense, 10° ≤ 2θ ≤ 90°, by angle)
d = 5.156 Å, 17.20°, I 349, (1 0 0)
d = 3.673 Å, 24.23°, I 569, (1 0 -1)
d = 3.619 Å, 24.60°, I 578, (1 0 1)
d = 2.868 Å, 31.18°, I 1000, (1 2 0)
d = 2.578 Å, 34.80°, I 301, (0 0 2)
d = 2.515 Å, 35.69°, I 156, (1 2 -1)
d = 1.925 Å, 47.21°, I 387, (2 2 -1)
d = 1.910 Å, 47.62°, I 408, (2 2 1)
d = 1.637 Å, 56.17°, I 151, (1 0 -3)
d = 1.558 Å, 59.32°, I 107, (1 4 1)
d = 1.538 Å, 60.14°, I 230, (0 2 3)
d = 1.434 Å, 65.03°, I 119, (2 4 0)

Atomic structure:
Cell: 5.154 6.904 5.158 Å, 90.00 90.85 90.00°
Space group P2/m (No. 10)
One atom of each set of equivalent atoms:
Ca: 0.000 0.000 0.000 (multiplicity 1)
Bi: 0.500 0.249 0.500 (multiplicity 2)
I: 0.000 0.500 0.000 (multiplicity 1)
O: 0.179 0.293 0.178 (multiplicity 4)
O: 0.260 0.500 0.739 (multiplicity 2)
O: 0.315 0.000 0.684 (multiplicity 2)

No. 3
For Ba3H9Rh2, the PBE geometry in Alexandria gives the simulated XRD peak list in this record (λ = 1.5418 Å (Cu Kα)).
Peak positions follow from Bragg's law for the DFT cell and can differ from measured ones.

Peak list (12 most intense, 10° ≤ 2θ ≤ 90°, by angle)
d = 3.474 Å, 25.64°, I 1000, (1 1 3)
d = 2.754 Å, 32.51°, I 858, (3 0 0)
d = 2.238 Å, 40.30°, I 413, (1 1 6)
d = 2.158 Å, 41.86°, I 285, (2 2 3)
d = 1.737 Å, 52.70°, I 193, (2 2 6)
d = 1.699 Å, 53.98°, I 265, (4 1 3)
d = 1.590 Å, 58.00°, I 160, (3 3 0)
d = 1.469 Å, 63.30°, I 218, (4 1 6)
d = 1.378 Å, 68.05°, I 167, (6 0 0)
d = 1.280 Å, 74.07°, I 112, (5 2 3)
d = 1.173 Å, 82.19°, I 104, (5 2 6)
d = 1.151 Å, 84.08°, I 104, (3 0 12)

Atomic structure:
Cell: 9.5403 9.5403 15.2065 Å, 90.00 90.00 120.00°
Space group R-3c (No. 167, hexagonal axes)
One atom of each set of equivalent atoms:
Ba: 0.0000 0.3373 0.2500 (multiplicity 18)
H: 0.0000 0.1296 0.7500 (multiplicity 18)
H: 0.0007 0.1540 0.4027 (multiplicity 36)
Rh: 0.0000 0.0000 0.1595 (multiplicity 12)

No. 4
For Pm4Ho15Sc, the PBE geometry in Alexandria gives the simulated XRD peak list in this record (λ = 1.5418 Å (Cu Kα)).
Peak positions follow from Bragg's law for the DFT cell and can differ from measured ones.

Peak list (12 most intense, 10° ≤ 2θ ≤ 90°, by angle)
d = 2.930 Å, 30.51°, I 598, (2 0 0)
d = 2.748 Å, 32.58°, I 1000, (1 1 5)
d = 2.072 Å, 43.69°, I 225, (2 2 0)
d = 1.836 Å, 49.65°, I 76, (0 0 10)
d = 1.654 Å, 55.55°, I 441, (3 1 5)
d = 1.556 Å, 59.40°, I 177, (2 0 10)
d = 1.465 Å, 63.50°, I 74, (4 0 0)
d = 1.374 Å, 68.25°, I 117, (2 2 10)
d = 1.310 Å, 72.08°, I 102, (4 2 0)
d = 1.293 Å, 73.21°, I 97, (3 3 5)
d = 1.174 Å, 82.09°, I 69, (1 1 15)
d = 1.097 Å, 89.32°, I 121, (5 1 5)

Atomic structure:
Cell: 5.860 5.860 18.363 Å, 90.00 90.00 90.00°
Space group P4/mmm (No. 123)
One atom of each set of equivalent atoms:
Pm: 0.000 0.000 0.102 (multiplicity 2)
Pm: 0.000 0.000 0.303 (multiplicity 2)
Ho: 0.000 0.500 0.000 (multiplicity 2)
Ho: 0.000 0.500 0.202 (multiplicity 4)
Ho: 0.000 0.500 0.405 (multiplicity 4)
Ho: 0.500 0.500 0.100 (multiplicity 2)
Ho: 0.500 0.500 0.300 (multiplicity 2)
Ho: 0.500 0.500 0.500 (multiplicity 1)
Sc: 0.000 0.000 0.500 (multiplicity 1)